No. 1
# Mg2GeI6
Computed PXRD pattern, Cu Kα. Input: a DFT-relaxed cell (GGA-PBE, Alexandria).
No peak broadening, texture or thermal motion is included.

Atomic structure:
Cell lengths 7.350, 7.350, 7.702 Å; angles 90.00, 90.00, 120.00 degrees
Fractional positions:
Mg 0.333 0.667 0.000
Mg 0.667 0.333 0.000
Ge 0.000 0.000 0.000
I 0.000 0.342 0.219
I 0.000 0.658 0.781
I 0.342 0.000 0.219
I 0.342 0.342 0.781
I 0.658 0.000 0.781
I 0.658 0.658 0.219

Most intense lines, 2θ from 10° to 90°, sorted by position:
d_spacing, 2θ/deg, I_rel
7.702, 11.5, 22
3.851, 23.1, 19
3.675, 24.2, 10
3.317, 26.9, 100
2.659, 33.7, 38
2.122, 42.6, 26
2.105, 43.0, 28
1.858, 49.0, 15
1.787, 51.1, 16
1.367, 68.7, 13

=====

No. 2
# MgGeTeI2
Computed PXRD pattern, Cu Kα. Input: a DFT-relaxed cell (GGA-PBE, Alexandria).
No peak broadening, texture or thermal motion is included.

Atomic structure:
Cell lengths 5.488, 5.488, 5.805 Å; angles 90.00, 90.00, 90.00 degrees
Fractional positions:
Mg 0.000 0.000 0.000
Ge 0.500 0.500 0.500
Te 0.000 0.000 0.500
I 0.000 0.500 0.000
I 0.500 0.000 0.000

Most intense lines, 2θ from 10° to 90°, sorted by position:
d_spacing, 2θ/deg, I_rel
3.226, 27.7, 100
2.903, 30.8, 24
2.744, 32.6, 41
1.994, 45.5, 32
1.940, 46.8, 15
1.732, 52.9, 16
1.663, 55.2, 28
1.613, 57.1, 16
1.292, 73.3, 12
1.130, 86.0, 10

=====

No. 3
# Pr6Ge2I3N
Computed PXRD pattern, Cu Kα. Input: a DFT-relaxed cell (GGA-PBE, Alexandria).
No peak broadening, texture or thermal motion is included.

Atomic structure:
Cell lengths 7.257, 7.257, 8.224 Å; angles 98.45, 98.45, 119.92 degrees
Fractional positions:
Pr 0.061 0.364 0.185
Pr 0.239 0.239 0.812
Pr 0.364 0.061 0.185
Pr 0.636 0.939 0.815
Pr 0.761 0.761 0.188
Pr 0.939 0.636 0.815
Ge 0.334 0.666 0.000
Ge 0.666 0.334 0.000
I 0.174 0.826 0.500
I 0.500 0.500 0.500
I 0.826 0.174 0.500
N 0.000 0.000 0.000

Most intense lines, 2θ from 10° to 90°, sorted by position:
d_spacing, 2θ/deg, I_rel
3.588, 24.8, 9
3.091, 28.9, 100
2.877, 31.1, 27
2.620, 34.2, 14
2.288, 39.4, 24
2.096, 43.2, 36
1.735, 52.8, 16
1.637, 56.2, 17
1.623, 56.7, 10
1.336, 70.5, 12

=====

No. 4
# GeRuIN2
Computed PXRD pattern, Cu Kα. Input: a DFT-relaxed cell (GGA-PBE, Alexandria).
No peak broadening, texture or thermal motion is included.

Atomic structure:
Cell lengths 3.962, 3.962, 5.724 Å; angles 90.00, 90.00, 90.00 degrees
Fractional positions:
Ge 0.000 0.000 0.000
Ru 0.500 0.500 0.500
I 0.500 0.500 0.000
N 0.000 0.500 0.500
N 0.500 0.000 0.500

Most intense lines, 2θ from 10° to 90°, sorted by position:
d_spacing, 2θ/deg, I_rel
3.962, 22.4, 77
2.862, 31.3, 77
2.802, 31.9, 100
2.516, 35.7, 30
2.320, 38.8, 36
2.002, 45.3, 77
1.981, 45.8, 51
1.629, 56.5, 53
1.258, 75.6, 22
1.148, 84.4, 26

=====

No. 5
# Na6GeI8
Computed PXRD pattern, Cu Kα. Input: a DFT-relaxed cell (GGA-PBE, Alexandria).
No peak broadening, texture or thermal motion is included.

Atomic structure:
Cell lengths 9.179, 9.179, 9.179 Å; angles 60.00, 60.00, 60.00 degrees
Fractional positions:
Na 0.000 0.000 0.500
Na 0.000 0.500 0.000
Na 0.000 0.500 0.500
Na 0.500 0.000 0.000
Na 0.500 0.000 0.500
Na 0.500 0.500 0.000
Ge 0.000 0.000 0.000
I 0.236 0.236 0.764
I 0.236 0.764 0.236
I 0.236 0.764 0.764
I 0.250 0.250 0.250
I 0.750 0.750 0.750
I 0.764 0.236 0.236
I 0.764 0.236 0.764
I 0.764 0.764 0.236

Most intense lines, 2θ from 10° to 90°, sorted by position:
d_spacing, 2θ/deg, I_rel
7.494, 11.8, 13
3.747, 23.7, 77
3.245, 27.5, 100
2.295, 39.3, 74
1.957, 46.4, 35
1.874, 48.6, 26
1.623, 56.7, 12
1.489, 62.4, 13
1.451, 64.2, 31
1.325, 71.2, 22

=====

No. 6
# NaGe2PtI
Computed PXRD pattern, Cu Kα. Input: a DFT-relaxed cell (GGA-PBE, Alexandria).
No peak broadening, texture or thermal motion is included.

Atomic structure:
Cell lengths 4.757, 4.757, 6.164 Å; angles 90.00, 90.00, 90.00 degrees
Fractional positions:
Na 0.000 0.000 0.000
Ge 0.000 0.500 0.500
Ge 0.500 0.000 0.500
Pt 0.000 0.000 0.500
I 0.500 0.500 0.000

Most intense lines, 2θ from 10° to 90°, sorted by position:
d_spacing, 2θ/deg, I_rel
6.164, 14.4, 33
3.766, 23.6, 100
3.364, 26.5, 16
3.082, 29.0, 43
2.378, 37.8, 42
2.011, 45.1, 36
1.884, 48.3, 56
1.682, 54.6, 14
1.477, 62.9, 32
1.110, 88.0, 13

=====

No. 7
# Nd2Ge2I
Computed PXRD pattern, Cu Kα. Input: a DFT-relaxed cell (GGA-PBE, Alexandria).
No peak broadening, texture or thermal motion is included.

Atomic structure:
Cell lengths 9.891, 9.891, 9.891 Å; angles 130.31, 55.74, 156.35 degrees
Fractional positions:
Nd 0.347 0.000 0.847
Nd 0.347 0.500 0.347
Nd 0.653 0.000 0.153
Nd 0.653 0.500 0.653
Ge 0.202 0.750 0.453
Ge 0.203 0.250 0.953
Ge 0.797 0.750 0.047
Ge 0.798 0.250 0.547
I 0.490 0.240 0.250
I 0.510 0.760 0.750

Most intense lines, 2θ from 10° to 90°, sorted by position:
d_spacing, 2θ/deg, I_rel
8.744, 10.1, 16
3.949, 22.5, 33
3.012, 29.7, 45
2.915, 30.7, 21
2.598, 34.5, 100
2.127, 42.5, 28
2.078, 43.6, 15
2.027, 44.7, 14
1.682, 54.6, 16
1.486, 62.5, 18

=====

No. 8
# NdGeI5
Computed PXRD pattern, Cu Kα. Input: a DFT-relaxed cell (GGA-PBE, Alexandria).
No peak broadening, texture or thermal motion is included.

Atomic structure:
Cell lengths 9.102, 4.467, 15.338 Å; angles 90.00, 95.79, 90.00 degrees
Fractional positions:
Nd 0.105 0.250 0.150
Nd 0.895 0.750 0.850
Ge 0.390 0.750 0.387
Ge 0.610 0.250 0.613
I 0.105 0.250 0.790
I 0.163 0.250 0.372
I 0.185 0.750 0.011
I 0.369 0.750 0.569
I 0.437 0.250 0.192
I 0.563 0.750 0.808
I 0.631 0.250 0.431
I 0.815 0.250 0.989
I 0.837 0.750 0.628
I 0.895 0.750 0.210

Most intense lines, 2θ from 10° to 90°, sorted by position:
d_spacing, 2θ/deg, I_rel
8.157, 10.8, 100
3.483, 25.6, 50
3.221, 27.7, 80
3.180, 28.1, 39
3.052, 29.3, 38
2.904, 30.8, 24
2.826, 31.7, 25
2.501, 35.9, 32
2.264, 39.8, 25
2.233, 40.4, 34

=====

No. 9
# Nd8Ge3PI4
Computed PXRD pattern, Cu Kα. Input: a DFT-relaxed cell (GGA-PBE, Alexandria).
No peak broadening, texture or thermal motion is included.

Atomic structure:
Cell lengths 9.197, 9.197, 9.197 Å; angles 56.02, 56.02, 56.02 degrees
Fractional positions:
Nd 0.233 0.233 0.233
Nd 0.238 0.729 0.729
Nd 0.271 0.271 0.762
Nd 0.271 0.762 0.271
Nd 0.729 0.238 0.729
Nd 0.729 0.729 0.238
Nd 0.762 0.271 0.271
Nd 0.767 0.767 0.767
Ge 0.000 0.000 0.500
Ge 0.000 0.500 0.000
Ge 0.500 0.000 0.000
P 0.500 0.500 0.500
I 0.000 0.000 0.000
I 0.000 0.500 0.500
I 0.500 0.000 0.500
I 0.500 0.500 0.000

Most intense lines, 2θ from 10° to 90°, sorted by position:
d_spacing, 2θ/deg, I_rel
3.143, 28.4, 100
2.911, 30.7, 19
2.576, 34.8, 9
2.291, 39.3, 28
2.160, 41.8, 39
1.780, 51.3, 19
1.655, 55.5, 14
1.610, 57.2, 8
1.571, 58.8, 8
1.373, 68.3, 16

=====

No. 10
# NdTlGe2I8
Computed PXRD pattern, Cu Kα. Input: a DFT-relaxed cell (GGA-PBE, Alexandria).
No peak broadening, texture or thermal motion is included.

Atomic structure:
Cell lengths 7.261, 7.733, 9.563 Å; angles 86.25, 86.92, 87.43 degrees
Fractional positions:
Nd 0.000 0.000 0.000
Tl 0.000 0.000 0.500
Ge 0.466 0.473 0.742
Ge 0.534 0.527 0.258
I 0.247 0.331 0.980
I 0.254 0.827 0.770
I 0.259 0.835 0.229
I 0.274 0.362 0.529
I 0.726 0.638 0.471
I 0.741 0.165 0.771
I 0.746 0.173 0.230
I 0.753 0.669 0.020

Most intense lines, 2θ from 10° to 90°, sorted by position:
d_spacing, 2θ/deg, I_rel
5.392, 16.4, 64
5.173, 17.1, 48
3.515, 25.3, 88
3.495, 25.5, 91
3.463, 25.7, 100
2.831, 31.6, 50
2.697, 33.2, 78
2.383, 37.8, 53
2.324, 38.7, 50
2.204, 40.9, 55

=====

No. 11
# Rb2NiGeI6
Computed PXRD pattern, Cu Kα. Input: a DFT-relaxed cell (GGA-PBE, Alexandria).
No peak broadening, texture or thermal motion is included.

Atomic structure:
Cell lengths 8.117, 8.117, 8.117 Å; angles 119.88, 119.88, 90.20 degrees
Fractional positions:
Rb 0.250 0.750 0.500
Rb 0.750 0.250 0.500
Ni 0.000 0.000 0.000
Ge 0.500 0.500 0.000
I 0.241 0.241 0.000
I 0.241 0.241 0.483
I 0.241 0.759 0.000
I 0.759 0.241 0.000
I 0.759 0.759 0.000
I 0.759 0.759 0.517

Most intense lines, 2θ from 10° to 90°, sorted by position:
d_spacing, 2θ/deg, I_rel
5.743, 15.4, 23
3.316, 26.9, 100
2.875, 31.1, 63
2.865, 31.2, 31
2.030, 44.6, 68
1.733, 52.8, 29
1.729, 53.0, 14
1.658, 55.4, 23
1.285, 73.7, 19
1.173, 82.2, 15

=====

No. 12
# GePI
Computed PXRD pattern, Cu Kα. Input: a DFT-relaxed cell (GGA-PBE, Alexandria).
No peak broadening, texture or thermal motion is included.

Atomic structure:
Cell lengths 13.672, 6.665, 7.743 Å; angles 90.00, 90.00, 90.00 degrees
Fractional positions:
Ge 0.000 0.027 0.000
Ge 0.129 0.539 0.937
Ge 0.371 0.461 0.437
Ge 0.500 0.973 0.500
Ge 0.629 0.461 0.437
Ge 0.871 0.539 0.937
P 0.000 0.364 0.084
P 0.081 0.849 0.784
P 0.419 0.151 0.284
P 0.500 0.636 0.584
P 0.581 0.151 0.284
P 0.919 0.849 0.784
I 0.000 0.831 0.291
I 0.170 0.336 0.644
I 0.330 0.664 0.144
I 0.500 0.169 0.791
I 0.670 0.664 0.144
I 0.830 0.336 0.644

Most intense lines, 2θ from 10° to 90°, sorted by position:
d_spacing, 2θ/deg, I_rel
6.737, 13.1, 33
5.051, 17.6, 60
4.772, 18.6, 46
3.927, 22.6, 100
3.762, 23.7, 39
3.252, 27.4, 46
3.041, 29.4, 29
2.698, 33.2, 29
2.538, 35.4, 29
2.128, 42.5, 30

=====

No. 13
# Pm3Ge2I3
Computed PXRD pattern, Cu Kα. Input: a DFT-relaxed cell (GGA-PBE, Alexandria).
No peak broadening, texture or thermal motion is included.

Atomic structure:
Cell lengths 9.363, 9.363, 6.049 Å; angles 90.00, 90.00, 120.00 degrees
Fractional positions:
Pm 0.000 0.395 0.250
Pm 0.000 0.605 0.750
Pm 0.395 0.000 0.250
Pm 0.395 0.395 0.750
Pm 0.605 0.000 0.750
Pm 0.605 0.605 0.250
Ge 0.333 0.667 0.000
Ge 0.333 0.667 0.500
Ge 0.667 0.333 0.000
Ge 0.667 0.333 0.500
I 0.000 0.252 0.750
I 0.000 0.748 0.250
I 0.252 0.000 0.750
I 0.252 0.252 0.250
I 0.748 0.000 0.250
I 0.748 0.748 0.750

Most intense lines, 2θ from 10° to 90°, sorted by position:
d_spacing, 2θ/deg, I_rel
4.682, 19.0, 15
3.065, 29.1, 17
3.024, 29.5, 26
2.734, 32.8, 100
2.703, 33.1, 38
2.540, 35.3, 49
2.108, 42.9, 23
1.684, 54.5, 30
1.512, 61.3, 14
1.429, 65.3, 14